Te2MoWSe2: computed powder diffractogram (Cu Kα (λ = 1.5418 Å)), based on a crystal structure in the Materials Project, relaxed with PBE.
Intensities are scaled so that the largest is 1000.

Atomic structure:
```
data_Te2MoWSe2
_symmetry_space_group_name_H-M 'P 3 m 1'
_symmetry_Int_Tables_number 156
_cell_length_a 3.4379
_cell_length_b 3.4379
_cell_length_c 39.0990
_cell_angle_alpha 90.00
_cell_angle_beta 90.00
_cell_angle_gamma 120.00
loop_
_symmetry_equiv_pos_as_xyz
'x,y,z'
'-y,x-y,z'
'-x+y,-x,z'
'-y,-x,z'
'-x+y,y,z'
'x,x-y,z'
loop_
_atom_site_label
_atom_site_fract_x
_atom_site_fract_y
_atom_site_fract_z
_atom_site_occupancy
Te1 0.0000 0.0000 0.0000 1
Te2 0.0000 0.0000 0.0949 1
Te3 0.0000 0.0000 0.3755 1
Te4 0.0000 0.0000 0.4709 1
Mo1 0.0000 0.0000 0.8595 1
Mo2 0.3333 0.6667 0.0474 1
W1 0.0000 0.0000 0.2353 1
W2 0.3333 0.6667 0.4232 1
Se1 0.3333 0.6667 0.1933 1
Se2 0.3333 0.6667 0.2772 1
Se3 0.3333 0.6667 0.8177 1
Se4 0.3333 0.6667 0.9014 1
```

Main lines, by intensity (2θ = 10–80°):
- hkl 0 0 5, 11.3°, intensity 1000
- hkl 1 0 8, 35.3°, intensity 926
- hkl 1 0 13, 42.7°, intensity 586
- hkl 1 0 0, 30.0°, intensity 504
- hkl 1 1 0, 53.3°, intensity 364
- hkl 1 0 14, 44.5°, intensity 192
- hkl 1 1 21, 75.2°, intensity 165
- hkl 0 0 6, 13.6°, intensity 152
- hkl 0 2 8, 65.6°, intensity 151
- hkl 1 0 5, 32.2°, intensity 135
- hkl 0 2 13, 70.6°, intensity 131
- hkl 1 0 9, 36.6°, intensity 123